No. 1
For Zn2CrCo, the PBE geometry in Alexandria gives the calculated X-ray powder pattern in this record (Cu Kα, 1.54184 Å).

Top 10 peaks for 10° ≤ 2θ ≤ 90°, low angle first:
2theta, intensity
10.95, 2
42.93, 100
44.87, 22
47.36, 19
57.14, 10
67.29, 12
75.44, 8
77.30, 8
81.39, 13
85.02, 12

Structural model:
a b c (Å): 2.506 2.506 8.081
angles (deg): 90.00 90.00 99.95
Fractional positions:
Zn (0.000, 0.000, 0.244)
Zn (0.000, 0.000, 0.756)
Cr (0.500, 0.500, 0.500)
Co (0.500, 0.500, 0.000)



No. 2
For ZnCr2Co3, the PBE geometry in Alexandria gives the calculated X-ray powder pattern in this record (Cu Kα, 1.54184 Å).

Top 10 peaks for 10° ≤ 2θ ≤ 90°, low angle first:
2theta, intensity
33.30, 1
37.93, 2
44.72, 100
45.34, 49
63.11, 1
64.13, 7
66.06, 14
82.00, 13
83.33, 28
85.17, 1

Structural model:
a b c (Å): 2.828 2.828 8.713
angles (deg): 90.00 90.00 90.00
Fractional positions:
Zn (0.000, 0.000, 0.000)
Cr (0.000, 0.000, 0.333)
Cr (0.000, 0.000, 0.667)
Co (0.500, 0.500, 0.183)
Co (0.500, 0.500, 0.500)
Co (0.500, 0.500, 0.817)



No. 3
For Zn3CrCo6, the PBE geometry in Alexandria gives the calculated X-ray powder pattern in this record (Cu Kα, 1.54184 Å).

Top 10 peaks for 10° ≤ 2θ ≤ 90°, low angle first:
2theta, intensity
35.39, 33
40.28, 67
42.22, 57
43.75, 99
46.09, 46
47.43, 100
47.85, 25
62.43, 34
74.93, 24
80.39, 33

Structural model:
a b c (Å): 4.778 4.778 6.421
angles (deg): 90.00 90.00 120.00
Fractional positions:
Zn (0.000, 0.000, 0.000)
Zn (0.333, 0.667, 0.000)
Zn (0.667, 0.333, 0.000)
Cr (0.000, 0.000, 0.500)
Co (0.000, 0.500, 0.325)
Co (0.000, 0.500, 0.675)
Co (0.500, 0.000, 0.325)
Co (0.500, 0.000, 0.675)
Co (0.500, 0.500, 0.325)
Co (0.500, 0.500, 0.675)



No. 4
For Zr4CrCo, the PBE geometry in Alexandria gives the calculated X-ray powder pattern in this record (Cu Kα, 1.54184 Å).

Top 10 peaks for 10° ≤ 2θ ≤ 90°, low angle first:
2theta, intensity
19.31, 28
31.79, 15
37.46, 100
39.20, 56
45.57, 13
49.93, 7
60.41, 31
66.42, 29
78.83, 10
79.92, 20

Structural model:
a b c (Å): 5.630 5.630 5.630
angles (deg): 60.00 60.00 60.00
Fractional positions:
Zr (0.125, 0.125, 0.125)
Zr (0.125, 0.125, 0.625)
Zr (0.125, 0.625, 0.125)
Zr (0.625, 0.125, 0.125)
Cr (0.500, 0.500, 0.500)
Co (0.750, 0.750, 0.750)